No. 1
Structure and calculated powder XRD pattern of Li3Ga5Ag2 (a PBE-relaxed structure; CuKα).
Intensities are scaled so that the largest is 100.

Top 12 peaks for 10 to 90 degrees two-theta, in order of rising 2θ:
h k l, Position (°2θ), Rel. int.
0 0 2, 19.82, 20
2 0 0, 21.93, 93
1 2 1, 22.41, 81
1 1 2, 24.21, 32
1 2 3, 36.29, 23
3 2 1, 38.76, 76
0 4 2, 39.63, 100
0 0 4, 40.26, 48
2 4 2, 45.75, 52
2 0 4, 46.31, 25
3 2 3, 48.60, 39
4 0 2, 49.36, 24

Structure:
a b c (Å): 8.106 10.559 8.960
angles (deg): 90.00 90.00 90.00
Space group Ibam (No. 72)
One atom of each set of equivalent atoms:
1 Li 0.000 0.000 0.250 (multiplicity 4)
2 Li 0.242 0.373 0.000 (multiplicity 8)
3 Ga 0.000 0.250 0.250 (multiplicity 8)
4 Ga 0.000 0.500 0.250 (multiplicity 4)
5 Ga 0.108 0.380 0.500 (multiplicity 8)
6 Ag 0.074 0.127 0.000 (multiplicity 8)



No. 2
Structure and calculated powder XRD pattern of Pr2Th2Bi2C (a PBE-relaxed structure; CuKα).
Intensities are scaled so that the largest is 100.

Top 12 peaks for 10 to 90 degrees two-theta, in order of rising 2θ:
h k l, Position (°2θ), Rel. int.
0 0 2, 10.26, 22
1 1 2, 27.48, 71
0 0 6, 31.13, 30
1 1 4, 32.95, 100
2 0 0, 36.26, 54
2 0 6, 48.52, 36
2 2 0, 52.21, 19
1 1 10, 59.79, 20
3 1 2, 60.00, 17
2 2 6, 62.06, 21
3 1 4, 63.13, 32
3 1 10, 83.34, 16

Structure:
a b c (Å): 4.955 4.955 17.239
angles (deg): 90.00 90.00 90.00
Space group I4/mmm (No. 139)
One atom of each set of equivalent atoms:
1 Pr 0.000 0.000 0.162 (multiplicity 4)
2 Th 0.000 0.500 0.000 (multiplicity 4)
3 Bi 0.000 0.000 0.357 (multiplicity 4)
4 C 0.000 0.000 0.000 (multiplicity 2)